Entry 1:
Diffraction record for P2W4CN. The powder diffraction line list is simulated, not measured: it uses a cell relaxed with PBE and CuKα.
Peak positions follow from Bragg's law for the DFT cell and can differ from measured ones.

Crystal structure
Cell lengths 3.048, 3.048, 12.373 Å; angles 90.00, 90.00, 120.00 degrees
Positions (direct):
1 P 0.333 0.667 0.250
2 P 0.667 0.333 0.750
3 W 0.333 0.667 0.604
4 W 0.333 0.667 0.888
5 W 0.667 0.333 0.112
6 W 0.667 0.333 0.396
7 C 0.000 0.000 0.500
8 N 0.000 0.000 0.000

Peak list (8 most intense, 10 to 90 degrees two-theta, sorted by position)
2θ/deg  d (Å)  I (rel.)  index
28.9  3.093  35  0 0 4
34.0  2.640  29  1 0 0
34.7  2.582  47  1 0 1
40.6  2.224  100  1 0 3
45.2  2.008  21  0 1 4
60.8  1.524  26  1 1 0
63.3  1.469  24  1 0 7
68.6  1.367  19  1 1 4

Entry 2:
Diffraction record for P2W8C3N3. The powder diffraction line list is simulated, not measured: it uses a cell relaxed with PBE and CuKα.
Peak positions follow from Bragg's law for the DFT cell and can differ from measured ones.

Crystal structure
Cell lengths 3.128, 3.128, 21.826 Å; angles 90.00, 90.00, 120.00 degrees
Positions (direct):
1 P 0.333 0.667 0.252
2 P 0.667 0.333 0.748
3 W 0.000 0.000 0.171
4 W 0.000 0.000 0.326
5 W 0.000 0.000 0.674
6 W 0.000 0.000 0.829
7 W 0.333 0.667 0.055
8 W 0.333 0.667 0.450
9 W 0.667 0.333 0.550
10 W 0.667 0.333 0.945
11 C 0.000 0.000 0.000
12 C 0.333 0.667 0.884
13 C 0.667 0.333 0.116
14 N 0.000 0.000 0.500
15 N 0.333 0.667 0.607
16 N 0.667 0.333 0.393

Peak list (8 most intense, 10 to 90 degrees two-theta, sorted by position)
2θ/deg  d (Å)  I (rel.)  index
32.8  2.728  40  0 0 8
34.1  2.629  86  1 0 2
35.4  2.539  35  0 1 3
39.1  2.302  68  1 0 5
41.6  2.173  100  1 0 6
59.1  1.564  53  1 1 0
61.4  1.510  32  1 0 12
69.2  1.357  30  1 1 8